Ta3Os: computed PXRD pattern (λ = 1.5418 Å (Cu Kα)), based on a PBE-relaxed structure.

Top 12 peaks for 10 to 90 degrees two-theta, by intensity:
hkl 0 2 0, 40.0°, I = 100
hkl 1 1 -1, 38.6°, I = 73
hkl 1 0 1, 38.8°, I = 36
hkl 1 2 1, 57.0°, I = 24
hkl 2 1 0, 69.2°, I = 13
hkl 1 0 -3, 56.6°, I = 12
hkl 1 2 -3, 71.5°, I = 12
hkl 1 3 -1, 71.7°, I = 12
hkl 1 1 3, 71.9°, I = 12
hkl 0 3 2, 72.6°, I = 12
hkl 2 2 -2, 82.8°, I = 8
hkl 0 2 4, 86.2°, I = 8

Structural model:
Lattice parameters (Å, degrees): 2.898 4.508 5.311 90.00 100.91 90.00
Space group P2/m (No. 10)
Asymmetric unit:
Ta: 0.000 0.000 0.000
Ta: 0.256 0.500 0.747
Os: 0.500 0.000 0.500